Record 1
For Nb2Tl5S4Cl9, a GGA-PBE-relaxed structure gives the calculated powder XRD pattern in this record (copper Kα).

Principal peaks in the range 2θ from 15° to 90°, in order of rising 2θ:
- 2θ = 20.84°, d 4.263, intensity 1000
- 2θ = 21.33°, d 4.165, intensity 576
- 2θ = 22.70°, d 3.917, intensity 903
- 2θ = 24.81°, d 3.589, intensity 626
- 2θ = 32.24°, d 2.777, intensity 448
- 2θ = 32.94°, d 2.719, intensity 654

Cell and atoms:
```
Nb2Tl5S4Cl9
1.0
-3.589 4.891 7.947
3.589 -4.891 7.947
3.589 4.891 -7.947
Nb Tl S Cl
2 5 4 9
Cartesian
0.000 0.000 1.461
0.000 0.000 14.434
3.589 2.757 -2.669
3.589 2.757 2.669
0.000 4.891 0.000
0.000 2.134 5.279
0.000 2.134 10.616
1.786 1.007 0.000
5.392 1.007 0.000
-1.803 3.884 7.947
1.803 3.884 7.947
3.589 -2.355 5.800
1.731 0.000 3.336
5.447 0.000 3.336
0.000 2.536 2.147
0.000 0.000 7.947
3.589 2.355 5.800
-1.858 4.891 4.611
1.858 4.891 4.611
0.000 7.246 2.147
```

=====

Record 2
For SrIn2B2O6, a GGA-PBE-relaxed structure gives the calculated powder XRD pattern in this record (copper Kα).

Principal peaks in the range 2θ from 15° to 90°, in order of rising 2θ:
- 2θ = 23.08°, d 3.854, intensity 1000
- 2θ = 30.39°, d 2.941, intensity 839
- 2θ = 35.18°, d 2.551, intensity 384
- 2θ = 42.49°, d 2.127, intensity 282
- 2θ = 49.82°, d 1.830, intensity 356
- 2θ = 56.31°, d 1.634, intensity 237

Cell and atoms:
```
SrIn2B2O6
1.0
5.102 0.000 0.000
-2.551 4.419 0.000
0.000 0.000 7.882
Sr In B O
1 2 2 6
Cartesian
0.000 0.000 0.000
0.000 2.946 2.721
2.551 1.473 5.161
0.000 2.946 6.205
2.551 1.473 1.677
-1.383 2.892 6.233
0.738 1.775 6.233
1.907 0.248 1.648
0.644 4.171 6.233
1.813 2.643 1.648
3.934 1.527 1.648
```

=====

Record 3
For K3ErTe2O9, a GGA-PBE-relaxed structure gives the calculated powder XRD pattern in this record (copper Kα).

Principal peaks in the range 2θ from 15° to 90°, in order of rising 2θ:
- 2θ = 21.59°, d 4.116, intensity 1000
- 2θ = 30.67°, d 2.915, intensity 850
- 2θ = 30.77°, d 2.906, intensity 829
- 2θ = 44.00°, d 2.058, intensity 586
- 2θ = 49.59°, d 1.838, intensity 219
- 2θ = 54.67°, d 1.679, intensity 483

Cell and atoms:
```
K3ErTe2O9
1.0
5.811 0.000 0.000
-2.906 5.033 0.000
0.000 0.000 7.153
K Er Te O
3 1 2 9
Cartesian
0.000 0.000 0.000
0.000 3.355 4.774
2.906 1.678 2.379
0.000 0.000 3.576
0.000 3.355 1.205
2.906 1.678 5.948
-1.453 2.516 0.000
0.000 1.769 2.251
-1.373 4.148 2.251
1.532 0.885 4.902
2.906 0.000 0.000
1.453 2.516 0.000
1.373 4.148 2.251
4.279 0.885 4.902
2.906 3.263 4.902
```

=====

Record 4
For La9NdTh4, a GGA-PBE-relaxed structure gives the calculated powder XRD pattern in this record (copper Kα).

Principal peaks in the range 2θ from 15° to 90°, in order of rising 2θ:
- 2θ = 31.12°, d 2.874, intensity 1000
- 2θ = 31.26°, d 2.861, intensity 553
- 2θ = 31.45°, d 2.844, intensity 404
- 2θ = 32.23°, d 2.777, intensity 243
- 2θ = 51.42°, d 1.777, intensity 277
- 2θ = 54.20°, d 1.692, intensity 211

Cell and atoms:
```
La9NdTh4
1.0
10.258 0.000 0.000
-5.129 8.884 0.000
0.000 0.000 11.108
La Nd Th
18 2 8
Cartesian
-1.919 4.815 2.777
0.000 3.516 6.052
0.000 3.516 10.610
-2.084 7.126 6.052
-2.084 7.126 10.610
3.045 1.758 0.498
3.045 1.758 5.056
1.919 4.815 2.777
0.000 8.139 2.777
5.129 0.745 8.331
3.210 4.069 8.331
2.084 7.126 6.052
2.084 7.126 10.610
7.214 1.758 0.498
7.214 1.758 5.056
5.129 5.368 0.498
5.129 5.368 5.056
7.048 4.069 8.331
0.000 5.923 8.331
5.129 2.961 2.777
0.000 0.000 0.000
0.000 0.000 5.554
0.000 1.978 2.777
-3.416 7.895 2.777
1.713 0.989 8.331
3.416 7.895 2.777
8.546 0.989 8.331
5.129 6.906 8.331
```

=====

Record 5
For Ac2La4Tb7, a GGA-PBE-relaxed structure gives the calculated powder XRD pattern in this record (copper Kα).

Principal peaks in the range 2θ from 15° to 90°, in order of rising 2θ:
- 2θ = 26.19°, d 3.403, intensity 214
- 2θ = 29.10°, d 3.068, intensity 384
- 2θ = 31.30°, d 2.858, intensity 1000
- 2θ = 34.67°, d 2.587, intensity 371
- 2θ = 49.52°, d 1.841, intensity 191
- 2θ = 50.17°, d 1.818, intensity 288

Cell and atoms:
```
Ac2La4Tb7
1.0
6.299 0.000 0.000
-3.149 5.455 0.000
0.000 0.000 13.611
Ac La Tb
2 4 7
Cartesian
0.000 3.636 0.000
3.149 1.818 0.000
0.000 0.000 5.330
0.000 0.000 8.281
0.000 3.636 6.805
3.149 1.818 6.805
0.000 0.000 0.000
-1.123 1.945 10.660
-2.026 3.509 2.950
2.246 0.000 10.660
1.123 1.945 2.950
4.052 0.000 2.950
2.026 3.509 10.660
```

=====

Record 6
For La4Tb7Nd2, a GGA-PBE-relaxed structure gives the calculated powder XRD pattern in this record (copper Kα).

Principal peaks in the range 2θ from 15° to 90°, in order of rising 2θ:
- 2θ = 29.99°, d 2.980, intensity 337
- 2θ = 30.12°, d 2.967, intensity 1000
- 2θ = 34.88°, d 2.572, intensity 678
- 2θ = 50.07°, d 1.822, intensity 244
- 2θ = 59.58°, d 1.552, intensity 241
- 2θ = 59.68°, d 1.549, intensity 239

Cell and atoms:
```
La4Tb7Nd2
1.0
6.293 0.000 0.000
1.038 8.069 0.000
1.044 3.923 8.717
La Tb Nd
4 7 2
Cartesian
1.026 4.766 3.022
2.090 3.780 6.372
6.284 8.212 2.345
7.348 7.227 5.695
1.066 2.344 0.338
3.148 9.419 3.683
4.189 8.445 7.052
4.187 5.996 4.359
4.185 3.547 1.666
5.226 2.574 5.034
7.308 9.648 8.379
3.140 6.955 1.012
5.234 5.037 7.706
```

=====

Record 7
For TlInGa3, a GGA-PBE-relaxed structure gives the calculated powder XRD pattern in this record (copper Kα).

Principal peaks in the range 2θ from 15° to 90°, in order of rising 2θ:
- 2θ = 25.03°, d 3.558, intensity 428
- 2θ = 32.61°, d 2.746, intensity 1000
- 2θ = 33.14°, d 2.703, intensity 559
- 2θ = 34.35°, d 2.610, intensity 676
- 2θ = 34.59°, d 2.593, intensity 747
- 2θ = 42.70°, d 2.118, intensity 368

Cell and atoms:
```
TlInGa3
1.0
13.119 0.000 0.000
0.000 6.047 0.000
0.000 0.000 5.934
Tl In Ga
4 4 12
Cartesian
3.280 0.000 0.455
3.280 3.024 2.512
9.839 0.000 5.479
9.839 3.024 3.422
0.085 1.512 1.484
6.474 4.535 1.484
6.645 1.512 4.451
13.034 4.535 4.451
0.518 4.535 1.484
1.965 0.296 3.448
1.965 2.727 5.453
4.594 3.320 5.453
4.594 5.751 3.448
6.041 1.512 1.484
7.078 4.535 4.451
8.525 0.296 2.486
8.525 2.727 0.481
11.153 3.320 0.481
11.153 5.751 2.486
12.601 1.512 4.451
```

=====

Record 8
For Li2Be2Te3, a GGA-PBE-relaxed structure gives the calculated powder XRD pattern in this record (copper Kα).

Principal peaks in the range 2θ from 15° to 90°, in order of rising 2θ:
- 2θ = 25.17°, d 3.538, intensity 341
- 2θ = 25.63°, d 3.476, intensity 662
- 2θ = 27.12°, d 3.288, intensity 1000
- 2θ = 27.30°, d 3.266, intensity 679
- 2θ = 28.48°, d 3.134, intensity 337
- 2θ = 43.62°, d 2.075, intensity 300

Cell and atoms:
```
Li2Be2Te3
1.0
7.753 -6.550 0.000
7.753 6.550 0.000
-3.132 0.000 6.345
Li Be Te
8 8 12
Cartesian
5.404 5.664 4.759
6.970 3.253 1.586
4.621 1.098 1.727
3.055 -1.098 4.900
9.319 1.098 1.445
7.753 -1.098 4.618
5.404 -3.253 4.759
6.970 -5.664 1.586
2.536 3.411 4.601
0.791 1.048 5.037
2.357 -1.048 1.865
8.272 3.411 4.917
4.102 -3.411 1.428
10.018 1.048 4.480
11.584 -1.048 1.308
9.838 -3.411 1.745
2.075 1.015 0.417
4.297 3.628 2.854
0.509 -1.015 3.589
3.071 1.433 5.885
9.643 3.628 0.319
4.637 -1.433 2.713
7.737 1.433 3.632
2.731 -3.628 6.026
9.303 -1.433 0.460
11.865 1.015 2.756
8.077 -3.628 3.491
10.299 -1.015 5.928
```

=====

Record 9
For LiRhW, a GGA-PBE-relaxed structure gives the calculated powder XRD pattern in this record (copper Kα).

Principal peaks in the range 2θ from 15° to 90°, in order of rising 2θ:
- 2θ = 37.02°, d 2.428, intensity 364
- 2θ = 39.80°, d 2.265, intensity 281
- 2θ = 40.03°, d 2.253, intensity 281
- 2θ = 41.67°, d 2.167, intensity 1000
- 2θ = 49.91°, d 1.827, intensity 209
- 2θ = 57.72°, d 1.597, intensity 190

Cell and atoms:
```
LiRhW
1.0
0.000 2.253 6.795
1.475 0.000 6.795
1.475 2.253 0.000
Li Rh W
1 1 1
Cartesian
0.000 0.000 0.000
1.475 2.253 4.612
1.475 2.253 9.225
```

=====

Record 10
For Sm2Dy4Te9, a GGA-PBE-relaxed structure gives the calculated powder XRD pattern in this record (copper Kα).

Principal peaks in the range 2θ from 15° to 90°, in order of rising 2θ:
- 2θ = 15.63°, d 5.669, intensity 344
- 2θ = 21.37°, d 4.158, intensity 270
- 2θ = 26.24°, d 3.396, intensity 909
- 2θ = 34.36°, d 2.610, intensity 1000
- 2θ = 40.33°, d 2.236, intensity 635
- 2θ = 54.00°, d 1.698, intensity 266

Cell and atoms:
```
Sm2Dy4Te9
1.0
6.709 -3.873 0.000
6.709 3.873 0.000
-0.003 0.000 21.195
Sm Dy Te
4 8 18
Cartesian
6.709 3.871 3.293
6.708 3.871 7.304
6.708 -3.871 13.890
6.706 -3.871 17.902
4.471 0.000 10.402
4.470 0.000 20.999
4.471 0.003 14.342
4.473 -0.003 3.744
8.943 0.003 17.450
8.945 -0.003 6.853
8.946 0.000 0.195
8.944 0.000 10.793
8.834 -2.644 15.895
4.582 2.644 5.299
2.416 1.244 1.767
4.422 2.405 12.363
8.836 2.644 5.298
6.707 1.420 15.896
2.414 -1.244 12.364
6.580 1.157 1.767
6.837 1.157 8.830
8.992 2.405 19.429
4.424 -2.405 1.765
6.578 -1.157 12.365
6.836 -1.157 19.427
11.002 1.244 8.831
4.580 -2.644 15.896
6.709 -1.420 5.299
8.993 -2.405 8.832
11.000 -1.244 19.428
```

=====

Record 11
For LiTl2AgTe2, a GGA-PBE-relaxed structure gives the calculated powder XRD pattern in this record (copper Kα).

Principal peaks in the range 2θ from 15° to 90°, in order of rising 2θ:
- 2θ = 26.64°, d 3.346, intensity 783
- 2θ = 28.97°, d 3.082, intensity 317
- 2θ = 29.41°, d 3.037, intensity 1000
- 2θ = 35.11°, d 2.556, intensity 738
- 2θ = 38.04°, d 2.366, intensity 642
- 2θ = 48.79°, d 1.866, intensity 488

Cell and atoms:
```
LiTl2AgTe2
1.0
-3.343 7.922 3.348
3.343 -7.922 3.348
3.343 7.922 -3.348
Li Tl Ag Te
2 4 2 4
Cartesian
0.000 0.000 1.674
0.000 0.000 5.023
4.920 2.672 0.000
1.577 5.251 0.000
1.765 2.672 3.348
-1.577 5.251 3.348
3.343 0.000 1.674
0.000 7.922 1.674
1.600 1.658 0.000
1.600 -1.658 3.348
1.743 9.580 0.000
1.743 6.265 3.348
```